[1]
Ho3ErTl4S8: simulated PXRD pattern (Cu Kα), based on a DFT-relaxed cell (PBE, Alexandria).
Neutral-atom scattering factors, no anomalous dispersion.

Atomic structure:
```
data_Ho3ErTl4S8
_cell_length_a 8.0153
_cell_length_b 8.0153
_cell_length_c 22.5691
_cell_angle_alpha 90.00
_cell_angle_beta 90.00
_cell_angle_gamma 120.00
_symmetry_space_group_name_H-M 'R -3 m'
_symmetry_Int_Tables_number 166
_symmetry_space_group_name_Hall '-R 3 2"'
loop_
_atom_site_label
_atom_site_type_symbol
_atom_site_fract_x
_atom_site_fract_y
_atom_site_fract_z
Ho1 Ho 0.0000 0.5000 0.0000
Er1 Er 0.0000 0.0000 0.0000
Tl1 Tl 0.0000 0.0000 0.5000
Tl2 Tl 0.0000 0.5000 0.5000
S1 S 0.0000 0.0000 0.2677
S2 S 0.0010 0.5005 0.7322
```

The 10 most intense peaks (10° ≤ 2θ ≤ 90°), by angle:
(0 0 6), 2θ = 23.65°, I = 32
(2 0 2), 2θ = 26.88°, I = 65
(0 2 4), 2θ = 30.23°, I = 100
(2 0 8), 2θ = 41.24°, I = 39
(2 2 0), 2θ = 45.25°, I = 34
(0 2 10), 2θ = 48.09°, I = 18
(2 2 6), 2θ = 51.69°, I = 25
(4 0 4), 2θ = 55.39°, I = 18
(2 2 12), 2θ = 68.41°, I = 16
(2 4 4), 2θ = 74.22°, I = 15

---

[2]
Ho6Er3Tm2Mg: simulated PXRD pattern (Cu Kα), based on a DFT-relaxed cell (PBE, Alexandria).
Neutral-atom scattering factors, no anomalous dispersion.

Atomic structure:
```
data_Ho6Er3Tm2Mg
_cell_length_a 6.061
_cell_length_b 10.501
_cell_length_c 11.537
_cell_angle_alpha 90.00
_cell_angle_beta 100.17
_cell_angle_gamma 90.00
_symmetry_space_group_name_H-M 'C 1 2/m 1'
_symmetry_Int_Tables_number 12
_symmetry_space_group_name_Hall '-C 2y'
loop_
_atom_site_label
_atom_site_type_symbol
_atom_site_fract_x
_atom_site_fract_y
_atom_site_fract_z
Ho1 Ho 0.248 0.000 0.249
Ho2 Ho 0.249 0.333 0.248
Er1 Er 0.000 0.000 0.500
Er2 Er 0.000 0.334 0.500
Tm1 Tm 0.000 0.166 0.000
Mg1 Mg 0.000 0.500 0.000
```

The 10 most intense peaks (10° ≤ 2θ ≤ 90°), by angle:
(1 3 1), 2θ = 31.33°, I = 100
(0 0 4), 2θ = 31.51°, I = 33
(2 0 2), 2θ = 36.38°, I = 67
(0 6 0), 2θ = 52.28°, I = 24
(1 3 5), 2θ = 52.53°, I = 23
(4 0 0), 2θ = 62.22°, I = 14
(3 3 3), 2θ = 62.33°, I = 28
(2 0 6), 2θ = 62.55°, I = 14
(2 6 2), 2θ = 65.36°, I = 12
(4 6 0), 2θ = 85.53°, I = 12

---

[3]
Sc3Ti2Zn3: simulated PXRD pattern (Cu Kα), based on a DFT-relaxed cell (PBE, Alexandria).
Neutral-atom scattering factors, no anomalous dispersion.

Atomic structure:
```
data_Sc3Ti2Zn3
_cell_length_a 3.214
_cell_length_b 4.697
_cell_length_c 19.492
_cell_angle_alpha 90.00
_cell_angle_beta 90.00
_cell_angle_gamma 90.00
_symmetry_space_group_name_H-M 'I m m m'
_symmetry_Int_Tables_number 71
_symmetry_space_group_name_Hall '-I 2 2'
loop_
_atom_site_label
_atom_site_type_symbol
_atom_site_fract_x
_atom_site_fract_y
_atom_site_fract_z
Sc1 Sc 0.000 0.000 0.000
Sc2 Sc 0.000 0.500 0.129
Ti1 Ti 0.000 0.000 0.235
Zn1 Zn 0.000 0.000 0.500
Zn2 Zn 0.000 0.500 0.379
```

The 10 most intense peaks (10° ≤ 2θ ≤ 90°), by angle:
(0 0 8), 2θ = 36.89°, I = 26
(0 2 0), 2θ = 38.33°, I = 27
(1 1 4), 2θ = 38.64°, I = 100
(0 2 8), 2θ = 54.25°, I = 16
(2 0 0), 2θ = 57.33°, I = 8
(1 1 12), 2θ = 67.63°, I = 13
(1 3 4), 2θ = 69.51°, I = 15
(2 0 8), 2θ = 70.15°, I = 7
(2 2 0), 2θ = 71.07°, I = 7
(2 2 8), 2θ = 82.87°, I = 8

---

[4]
Li2Ni2B: simulated PXRD pattern (Cu Kα), based on a DFT-relaxed cell (PBE, Alexandria).
Neutral-atom scattering factors, no anomalous dispersion.

Atomic structure:
```
data_Li2Ni2B
_cell_length_a 5.152
_cell_length_b 5.152
_cell_length_c 4.233
_cell_angle_alpha 90.00
_cell_angle_beta 90.00
_cell_angle_gamma 90.00
_symmetry_space_group_name_H-M 'P 4/m b m'
_symmetry_Int_Tables_number 127
_symmetry_space_group_name_Hall '-P 4 2ab'
loop_
_atom_site_label
_atom_site_type_symbol
_atom_site_fract_x
_atom_site_fract_y
_atom_site_fract_z
Li1 Li 0.173 0.327 0.000
Ni1 Ni 0.160 0.660 0.500
B1 B 0.000 0.000 0.500
```

The 10 most intense peaks (10° ≤ 2θ ≤ 90°), by angle:
(0 0 1), 2θ = 20.99°, I = 100
(2 0 0), 2θ = 34.83°, I = 9
(2 1 0), 2θ = 39.09°, I = 39
(0 0 2), 2θ = 42.72°, I = 20
(2 1 1), 2θ = 44.78°, I = 71
(3 1 0), 2θ = 56.48°, I = 10
(2 1 2), 2θ = 59.29°, I = 21
(3 1 1), 2θ = 60.93°, I = 12
(2 1 3), 2θ = 79.68°, I = 11
(4 1 1), 2θ = 80.07°, I = 9

---

[5]
CsAsPt: simulated PXRD pattern (Cu Kα), based on a DFT-relaxed cell (PBE, Alexandria).
Neutral-atom scattering factors, no anomalous dispersion.

Atomic structure:
```
data_CsAsPt
_cell_length_a 7.509
_cell_length_b 7.138
_cell_length_c 7.847
_cell_angle_alpha 90.00
_cell_angle_beta 115.72
_cell_angle_gamma 90.00
_symmetry_space_group_name_H-M 'P 1 21/c 1'
_symmetry_Int_Tables_number 14
_symmetry_space_group_name_Hall '-P 2ybc'
loop_
_atom_site_label
_atom_site_type_symbol
_atom_site_fract_x
_atom_site_fract_y
_atom_site_fract_z
Cs1 Cs 0.161 0.127 0.375
As1 As 0.330 0.646 0.588
Pt1 Pt 0.444 0.621 0.339
```

The 10 most intense peaks (10° ≤ 2θ ≤ 90°), by angle:
(1 0 0), 2θ = 13.09°, I = 100
(1 1 1), 2θ = 25.13°, I = 54
(1 1 -2), 2θ = 26.01°, I = 32
(2 1 -1), 2θ = 26.86°, I = 54
(0 2 1), 2θ = 28.01°, I = 73
(2 1 0), 2θ = 29.22°, I = 70
(2 1 -2), 2θ = 30.24°, I = 40
(1 2 1), 2θ = 33.34°, I = 79
(1 1 -3), 2θ = 36.75°, I = 54
(3 2 -3), 2θ = 49.23°, I = 41

---

[6]
CsMgPtF6: simulated PXRD pattern (Cu Kα), based on a DFT-relaxed cell (PBE, Alexandria).
Neutral-atom scattering factors, no anomalous dispersion.

Atomic structure:
```
data_CsMgPtF6
_cell_length_a 5.604
_cell_length_b 9.462
_cell_length_c 6.574
_cell_angle_alpha 90.00
_cell_angle_beta 90.71
_cell_angle_gamma 90.00
_symmetry_space_group_name_H-M 'C 1 2 1'
_symmetry_Int_Tables_number 5
_symmetry_space_group_name_Hall 'C 2y'
loop_
_atom_site_label
_atom_site_type_symbol
_atom_site_fract_x
_atom_site_fract_y
_atom_site_fract_z
Cs1 Cs 0.000 0.000 0.000
Mg1 Mg 0.000 0.668 0.500
Pt1 Pt 0.000 0.331 0.500
F1 F 0.136 0.494 0.659
F2 F 0.163 0.796 0.690
F3 F 0.182 0.181 0.658
```

The 10 most intense peaks (10° ≤ 2θ ≤ 90°), by angle:
(0 0 1), 2θ = 13.47°, I = 45
(1 1 0), 2θ = 18.40°, I = 38
(1 1 -1), 2θ = 22.76°, I = 100
(1 1 1), 2θ = 22.99°, I = 95
(0 2 1), 2θ = 23.16°, I = 92
(0 0 2), 2θ = 27.13°, I = 32
(1 3 0), 2θ = 32.58°, I = 41
(1 3 -2), 2θ = 42.73°, I = 31
(1 3 2), 2θ = 43.03°, I = 45
(3 3 0), 2θ = 57.32°, I = 29

---

[7]
MnBe8Fe3: simulated PXRD pattern (Cu Kα), based on a DFT-relaxed cell (PBE, Alexandria).
Neutral-atom scattering factors, no anomalous dispersion.

Atomic structure:
```
data_MnBe8Fe3
_cell_length_a 4.1702
_cell_length_b 4.1702
_cell_length_c 6.7994
_cell_angle_alpha 90.00
_cell_angle_beta 90.00
_cell_angle_gamma 120.00
_symmetry_space_group_name_H-M 'P 3 m 1'
_symmetry_Int_Tables_number 156
_symmetry_space_group_name_Hall 'P 3 -2"'
loop_
_atom_site_label
_atom_site_type_symbol
_atom_site_fract_x
_atom_site_fract_y
_atom_site_fract_z
Mn1 Mn 0.0000 0.0000 0.0000
Be1 Be 0.1630 0.3259 0.6885
Be2 Be 0.3333 0.6667 0.4389
Be3 Be 0.3333 0.6667 0.9378
Be4 Be 0.5037 0.0073 0.1880
Fe1 Fe 0.0000 0.0000 0.3761
Fe2 Fe 0.6667 0.3333 0.5007
Fe3 Fe 0.6667 0.3333 0.8755
```

The 10 most intense peaks (10° ≤ 2θ ≤ 90°), by angle:
(1 0 0), 2θ = 24.65°, I = 78
(0 0 2), 2θ = 26.21°, I = 45
(1 0 1), 2θ = 27.97°, I = 50
(1 0 2), 2θ = 36.29°, I = 33
(1 1 0), 2θ = 43.40°, I = 92
(1 0 3), 2θ = 47.35°, I = 100
(1 1 2), 2θ = 51.41°, I = 71
(0 2 1), 2θ = 52.43°, I = 22
(0 2 3), 2θ = 66.17°, I = 20
(2 1 3), 2θ = 82.49°, I = 34

---

[8]
LaTb2Mg5: simulated PXRD pattern (Cu Kα), based on a DFT-relaxed cell (PBE, Alexandria).
Neutral-atom scattering factors, no anomalous dispersion.

Atomic structure:
```
data_LaTb2Mg5
_cell_length_a 5.327
_cell_length_b 5.327
_cell_length_c 15.312
_cell_angle_alpha 90.00
_cell_angle_beta 90.00
_cell_angle_gamma 90.00
_symmetry_space_group_name_H-M 'I 4/m m m'
_symmetry_Int_Tables_number 139
_symmetry_space_group_name_Hall '-I 4 2'
loop_
_atom_site_label
_atom_site_type_symbol
_atom_site_fract_x
_atom_site_fract_y
_atom_site_fract_z
La1 La 0.000 0.000 0.000
Tb1 Tb 0.000 0.000 0.260
Mg1 Mg 0.000 0.000 0.500
Mg2 Mg 0.000 0.500 0.124
```

The 10 most intense peaks (10° ≤ 2θ ≤ 90°), by angle:
(0 0 2), 2θ = 11.56°, I = 20
(0 0 4), 2θ = 23.24°, I = 25
(1 1 0), 2θ = 23.62°, I = 51
(1 0 3), 2θ = 24.15°, I = 20
(1 1 4), 2θ = 33.37°, I = 100
(2 0 0), 2θ = 33.65°, I = 51
(2 0 4), 2θ = 41.30°, I = 23
(2 2 0), 2θ = 48.33°, I = 18
(2 0 8), 2θ = 59.47°, I = 17
(3 1 4), 2θ = 60.00°, I = 36

---

[9]
Er6CoCu: simulated PXRD pattern (Cu Kα), based on a DFT-relaxed cell (PBE, Alexandria).
Neutral-atom scattering factors, no anomalous dispersion.

Atomic structure:
```
data_Er6CoCu
_cell_length_a 4.856
_cell_length_b 4.856
_cell_length_c 16.965
_cell_angle_alpha 90.00
_cell_angle_beta 90.00
_cell_angle_gamma 90.00
_symmetry_space_group_name_H-M 'I 4/m m m'
_symmetry_Int_Tables_number 139
_symmetry_space_group_name_Hall '-I 4 2'
loop_
_atom_site_label
_atom_site_type_symbol
_atom_site_fract_x
_atom_site_fract_y
_atom_site_fract_z
Er1 Er 0.000 0.000 0.249
Er2 Er 0.000 0.500 0.095
Co1 Co 0.000 0.000 0.000
Cu1 Cu 0.000 0.000 0.500
```

The 10 most intense peaks (10° ≤ 2θ ≤ 90°), by angle:
(1 1 2), 2θ = 28.04°, I = 35
(0 0 6), 2θ = 31.64°, I = 21
(1 1 4), 2θ = 33.58°, I = 100
(2 0 0), 2θ = 37.03°, I = 54
(2 0 6), 2θ = 49.48°, I = 24
(2 2 0), 2θ = 53.37°, I = 19
(1 1 10), 2θ = 60.91°, I = 14
(2 2 6), 2θ = 63.38°, I = 12
(3 1 4), 2θ = 64.55°, I = 30
(3 1 10), 2θ = 85.25°, I = 11

---

[10]
TiCdGa2Hg: simulated PXRD pattern (Cu Kα), based on a DFT-relaxed cell (PBE, Alexandria).
Neutral-atom scattering factors, no anomalous dispersion.

Atomic structure:
```
data_TiCdGa2Hg
_cell_length_a 4.973
_cell_length_b 4.973
_cell_length_c 5.343
_cell_angle_alpha 90.00
_cell_angle_beta 90.00
_cell_angle_gamma 90.00
_symmetry_space_group_name_H-M 'P 4/m m m'
_symmetry_Int_Tables_number 123
_symmetry_space_group_name_Hall '-P 4 2'
loop_
_atom_site_label
_atom_site_type_symbol
_atom_site_fract_x
_atom_site_fract_y
_atom_site_fract_z
Ti1 Ti 0.000 0.000 0.000
Cd1 Cd 0.500 0.500 0.500
Ga1 Ga 0.000 0.500 0.500
Hg1 Hg 0.500 0.500 0.000
```

The 10 most intense peaks (10° ≤ 2θ ≤ 90°), by angle:
(1 0 0), 2θ = 17.84°, I = 100
(1 1 0), 2θ = 25.33°, I = 29
(1 1 1), 2θ = 30.43°, I = 62
(0 0 2), 2θ = 33.55°, I = 40
(2 0 0), 2θ = 36.13°, I = 65
(1 0 2), 2θ = 38.25°, I = 31
(2 1 0), 2θ = 40.57°, I = 26
(2 0 2), 2θ = 50.12°, I = 51
(2 1 2), 2θ = 53.62°, I = 24
(2 2 2), 2θ = 63.33°, I = 25

---

[11]
Bi4Te2Br2O9: simulated PXRD pattern (Cu Kα), based on a DFT-relaxed cell (PBE, Alexandria).
Neutral-atom scattering factors, no anomalous dispersion.

Atomic structure:
```
data_Bi4Te2Br2O9
_cell_length_a 5.660
_cell_length_b 5.660
_cell_length_c 10.268
_cell_angle_alpha 90.00
_cell_angle_beta 90.00
_cell_angle_gamma 90.00
_symmetry_space_group_name_H-M 'P 4 m m'
_symmetry_Int_Tables_number 99
_symmetry_space_group_name_Hall 'P 4 -2'
loop_
_atom_site_label
_atom_site_type_symbol
_atom_site_fract_x
_atom_site_fract_y
_atom_site_fract_z
Bi1 Bi 0.000 0.000 0.000
Bi2 Bi 0.000 0.500 0.753
Bi3 Bi 0.500 0.500 0.987
Te1 Te 0.000 0.000 0.569
Te2 Te 0.500 0.500 0.502
Br1 Br 0.000 0.500 0.151
O1 O 0.240 0.240 0.529
O2 O 0.244 0.244 0.874
O3 O 0.500 0.500 0.687
```

The 10 most intense peaks (10° ≤ 2θ ≤ 90°), by angle:
(1 1 2), 2θ = 28.27°, I = 100
(2 0 0), 2θ = 31.61°, I = 41
(2 0 1), 2θ = 32.82°, I = 11
(1 1 3), 2θ = 34.48°, I = 31
(2 2 0), 2θ = 45.31°, I = 23
(2 0 4), 2θ = 47.84°, I = 14
(3 1 2), 2θ = 54.27°, I = 34
(2 0 5), 2θ = 55.27°, I = 11
(3 1 3), 2θ = 58.16°, I = 14
(4 2 4), 2θ = 85.57°, I = 10

---

[12]
HoTmAl3: simulated PXRD pattern (Cu Kα), based on a DFT-relaxed cell (PBE, Alexandria).
Neutral-atom scattering factors, no anomalous dispersion.

Atomic structure:
```
data_HoTmAl3
_cell_length_a 3.493
_cell_length_b 27.439
_cell_length_c 4.527
_cell_angle_alpha 90.00
_cell_angle_beta 90.00
_cell_angle_gamma 90.00
_symmetry_space_group_name_H-M 'C m c m'
_symmetry_Int_Tables_number 63
_symmetry_space_group_name_Hall '-C 2c 2'
loop_
_atom_site_label
_atom_site_type_symbol
_atom_site_fract_x
_atom_site_fract_y
_atom_site_fract_z
Ho1 Ho 0.000 0.072 0.250
Tm1 Tm 0.000 0.212 0.750
Al1 Al 0.000 0.328 0.750
Al2 Al 0.000 0.380 0.250
Al3 Al 0.000 0.476 0.250
```

The 10 most intense peaks (10° ≤ 2θ ≤ 90°), by angle:
(0 6 0), 2θ = 19.41°, I = 17
(0 4 1), 2θ = 23.55°, I = 75
(0 8 0), 2θ = 25.98°, I = 15
(1 3 1), 2θ = 33.86°, I = 100
(1 7 0), 2θ = 34.39°, I = 62
(0 10 1), 2θ = 38.36°, I = 44
(0 0 2), 2θ = 39.83°, I = 27
(1 11 1), 2θ = 49.19°, I = 18
(1 7 2), 2θ = 53.61°, I = 35
(2 10 1), 2θ = 66.77°, I = 17

---

[13]
Th3Pa2Co3: simulated PXRD pattern (Cu Kα), based on a DFT-relaxed cell (PBE, Alexandria).
Neutral-atom scattering factors, no anomalous dispersion.

Atomic structure:
```
data_Th3Pa2Co3
_cell_length_a 3.671
_cell_length_b 12.668
_cell_length_c 15.293
_cell_angle_alpha 90.00
_cell_angle_beta 90.00
_cell_angle_gamma 90.00
_symmetry_space_group_name_H-M 'C m c m'
_symmetry_Int_Tables_number 63
_symmetry_space_group_name_Hall '-C 2c 2'
loop_
_atom_site_label
_atom_site_type_symbol
_atom_site_fract_x
_atom_site_fract_y
_atom_site_fract_z
Th1 Th 0.000 0.068 0.125
Th2 Th 0.000 0.360 0.250
Pa1 Pa 0.000 0.211 0.580
Co1 Co 0.000 0.334 0.750
Co2 Co 0.000 0.415 0.041
```

The 10 most intense peaks (10° ≤ 2θ ≤ 90°), by angle:
(0 4 1), 2θ = 28.79°, I = 43
(1 1 3), 2θ = 30.84°, I = 42
(0 2 5), 2θ = 32.51°, I = 52
(1 3 1), 2θ = 32.86°, I = 89
(0 4 3), 2θ = 33.31°, I = 41
(1 3 2), 2θ = 34.43°, I = 38
(1 1 4), 2θ = 34.61°, I = 100
(1 3 3), 2θ = 36.92°, I = 78
(2 0 0), 2θ = 49.68°, I = 34
(1 7 0), 2θ = 56.71°, I = 30